Theoretical powder XRD pattern
Compound: LiV2Si2O8
Radiation: λ = 1.5418 Å (Cu Kα)
Structure: the PBE+U geometry in Alexandria

Atomic structure:
a b c (Å): 8.104 5.428 6.320
angles (deg): 90.00 90.10 90.00
Space group Cm (No. 8)
Unique sites:
1 Li 0.000 0.000 0.000
2 V 0.171 0.500 0.736
3 V 0.173 0.500 0.250
4 Si 0.025 0.000 0.500
5 Si 0.327 0.000 0.999
6 O 0.143 0.252 0.507
7 O 0.203 0.245 0.988
8 O 0.405 0.500 0.711
9 O 0.416 0.500 0.285
10 O 0.438 0.000 0.209
11 O 0.452 0.000 0.795

Most intense lines, 2θ from 10° to 90°, in order of rising 2θ:
2θ = 19.69°, d = 4.510 Å, I 55.2; 2θ = 21.93°, d = 4.052 Å, I 24.5; 2θ = 24.25°, d = 3.671 Å, I 47.9; 2θ = 26.12°, d = 3.412 Å, I 29.1; 2θ = 33.01°, d = 2.714 Å, I 37.6; 2θ = 34.66°, d = 2.588 Å, I 100.0; 2θ = 37.18°, d = 2.418 Å, I 38.6; 2θ = 43.98°, d = 2.059 Å, I 28.9; 2θ = 49.67°, d = 1.835 Å, I 25.8; 2θ = 58.41°, d = 1.580 Å, I 14.8; 2θ = 60.02°, d = 1.541 Å, I 17.6; 2θ = 64.53°, d = 1.444 Å, I 36.7